Diffraction record for RbSmCuCl5. The XRD peak list is computed, not measured: it uses a GGA-PBE-relaxed structure and copper Kα.

a = 7.5047 Å, b = 7.5047 Å, c = 10.1804 Å
α = 103.43°, β = 103.43°, γ = 106.76°
Atoms (fractional coordinates):
Rb  0.1505  0.8495  0.7500
Rb  0.8495  0.1505  0.2500
Sm  0.5000  0.5000  0.0000
Sm  0.5000  0.5000  0.5000
Cu  0.1893  0.8107  0.2500
Cu  0.8107  0.1893  0.7500
Cl  0.1186  0.2605  0.9204
Cl  0.1921  0.5998  0.3868
Cl  0.2605  0.1186  0.4204
Cl  0.4002  0.8078  0.1132
Cl  0.4205  0.5795  0.7500
Cl  0.5795  0.4205  0.2500
Cl  0.5998  0.1921  0.8868
Cl  0.7395  0.8814  0.5796
Cl  0.8078  0.4002  0.6132
Cl  0.8814  0.7395  0.0796

Most intense lines, 15 to 90 degrees two-theta, by angle:
2θ/deg  I_rel
19.23  100.0
21.55  58.9
24.05  47.0
24.66  53.9
27.95  22.2
31.54  23.2
39.74  27.8
42.23  25.0